1.
Structure and calculated powder X-ray diffraction pattern of Np2AuSe2S2 (a crystal structure in Alexandria, relaxed with PBE; Cu Kα).

Peak list (10 most intense, 2θ = 10–90°, low angle first)
d 3.838, rel. 25; d 3.647, rel. 100; d 3.197, rel. 33; d 2.304, rel. 41; d 2.220, rel. 42; d 1.975, rel. 25; d 1.922, rel. 22; d 1.896, rel. 17; d 1.599, rel. 15; d 1.442, rel. 14

Cell and atoms:
Cell lengths 4.440, 4.440, 11.512 Å; angles 90.00, 90.00, 120.00 degrees
Atoms (fractional coordinates):
Np  0.333  0.667  0.160
Np  0.667  0.333  0.840
Au  0.000  0.000  0.500
Se  0.000  0.000  0.289
Se  0.000  0.000  0.711
S  0.333  0.667  0.917
S  0.667  0.333  0.083

---

2.
Structure and calculated powder X-ray diffraction pattern of Np4Sb7Au5 (a crystal structure in Alexandria, relaxed with PBE; Cu Kα).

Peak list (10 most intense, 2θ = 10–90°, low angle first)
d 3.997, rel. 9; d 2.631, rel. 6; d 2.620, rel. 100; d 2.470, rel. 18; d 2.186, rel. 32; d 1.637, rel. 20; d 1.545, rel. 11; d 1.453, rel. 11; d 1.331, rel. 26; d 1.310, rel. 10

Cell and atoms:
Cell lengths 10.805, 10.805, 10.805 Å; angles 146.75, 146.75, 47.73 degrees
Atoms (fractional coordinates):
Np  0.129  0.129  0.503
Np  0.374  0.871  0.000
Np  0.626  0.626  0.497
Np  0.871  0.374  0.000
Sb  0.000  0.500  0.500
Sb  0.097  0.603  0.000
Sb  0.397  0.397  0.495
Sb  0.500  0.000  0.500
Sb  0.500  0.500  0.000
Sb  0.603  0.097  0.000
Sb  0.903  0.903  0.505
Au  0.000  0.000  0.000
Au  0.250  0.750  0.500
Au  0.251  0.251  0.000
Au  0.749  0.749  0.000
Au  0.750  0.250  0.500

---

3.
Structure and calculated powder X-ray diffraction pattern of Np3Sb4Au3 (a crystal structure in Alexandria, relaxed with PBE; Cu Kα).

Peak list (10 most intense, 2θ = 10–90°, low angle first)
d 4.082, rel. 19; d 3.535, rel. 15; d 2.672, rel. 100; d 2.236, rel. 56; d 2.041, rel. 13; d 1.825, rel. 20; d 1.443, rel. 13; d 1.386, rel. 13; d 1.361, rel. 12; d 1.091, rel. 13

Cell and atoms:
Cell lengths 8.658, 8.658, 8.658 Å; angles 109.47, 109.47, 109.47 degrees
Atoms (fractional coordinates):
Np  0.125  0.875  0.250
Np  0.250  0.125  0.875
Np  0.375  0.625  0.750
Np  0.625  0.750  0.375
Np  0.750  0.375  0.625
Np  0.875  0.250  0.125
Sb  0.000  0.182  0.500
Sb  0.000  0.682  0.500
Sb  0.182  0.500  0.000
Sb  0.318  0.318  0.318
Sb  0.500  0.000  0.182
Sb  0.500  0.000  0.682
Sb  0.682  0.500  0.000
Sb  0.818  0.818  0.818
Au  0.125  0.750  0.875
Au  0.250  0.625  0.375
Au  0.375  0.250  0.625
Au  0.625  0.375  0.250
Au  0.750  0.875  0.125
Au  0.875  0.125  0.750

---

4.
Structure and calculated powder X-ray diffraction pattern of NpSnSbAu (a crystal structure in Alexandria, relaxed with PBE; Cu Kα).

Peak list (10 most intense, 2θ = 10–90°, low angle first)
d 2.618, rel. 100; d 2.466, rel. 21; d 2.247, rel. 16; d 2.126, rel. 14; d 1.661, rel. 13; d 1.610, rel. 12; d 1.451, rel. 17; d 1.358, rel. 13; d 1.309, rel. 12; d 1.303, rel. 12

Cell and atoms:
Cell lengths 4.251, 4.495, 4.932 Å; angles 90.00, 90.00, 90.00 degrees
Atoms (fractional coordinates):
Np  0.000  0.000  0.000
Sn  0.500  0.000  0.500
Sb  0.500  0.500  0.000
Au  0.000  0.500  0.500

---

5.
Structure and calculated powder X-ray diffraction pattern of NpTl2Au9 (a crystal structure in Alexandria, relaxed with PBE; Cu Kα).

Peak list (10 most intense, 2θ = 10–90°, low angle first)
d 3.114, rel. 16; d 2.865, rel. 16; d 2.813, rel. 23; d 2.427, rel. 28; d 2.417, rel. 100; d 2.362, rel. 27; d 2.238, rel. 29; d 1.536, rel. 25; d 1.406, rel. 25; d 1.208, rel. 20

Cell and atoms:
Cell lengths 9.990, 9.990, 9.990 Å; angles 32.71, 32.71, 32.71 degrees
Atoms (fractional coordinates):
Np  0.000  0.000  0.000
Tl  0.144  0.144  0.144
Tl  0.856  0.856  0.856
Au  0.082  0.583  0.583
Au  0.333  0.333  0.333
Au  0.417  0.417  0.918
Au  0.417  0.918  0.417
Au  0.500  0.500  0.500
Au  0.583  0.082  0.583
Au  0.583  0.583  0.082
Au  0.667  0.667  0.667
Au  0.918  0.417  0.417

---

6.
Structure and calculated powder X-ray diffraction pattern of TmNpAu4 (a crystal structure in Alexandria, relaxed with PBE; Cu Kα).

Peak list (10 most intense, 2θ = 10–90°, low angle first)
d 2.635, rel. 68; d 2.372, rel. 100; d 1.863, rel. 25; d 1.538, rel. 6; d 1.465, rel. 45; d 1.328, rel. 16; d 1.317, rel. 8; d 1.186, rel. 11; d 1.178, rel. 12; d 1.152, rel. 11

Cell and atoms:
Cell lengths 3.726, 3.726, 9.227 Å; angles 90.00, 90.00, 90.00 degrees
Atoms (fractional coordinates):
Tm  0.000  0.000  0.000
Np  0.500  0.500  0.500
Au  0.000  0.000  0.326
Au  0.000  0.000  0.674
Au  0.500  0.500  0.160
Au  0.500  0.500  0.840

---

7.
Structure and calculated powder X-ray diffraction pattern of NpUAu (a crystal structure in Alexandria, relaxed with PBE; Cu Kα).

Peak list (10 most intense, 2θ = 10–90°, low angle first)
d 2.916, rel. 91; d 2.454, rel. 59; d 2.328, rel. 100; d 2.312, rel. 77; d 2.232, rel. 34; d 2.082, rel. 59; d 2.052, rel. 19; d 1.570, rel. 23; d 1.394, rel. 37; d 1.171, rel. 24

Cell and atoms:
Cell lengths 6.987, 6.381, 4.775 Å; angles 76.04, 62.41, 41.55 degrees
Atoms (fractional coordinates):
Np  0.133  0.133  0.867
Np  0.867  0.867  0.133
U  0.250  0.250  0.250
U  0.750  0.750  0.750
Au  0.328  0.672  0.328
Au  0.672  0.328  0.672

---

8.
Structure and calculated powder X-ray diffraction pattern of NpZnAu2 (a crystal structure in Alexandria, relaxed with PBE; Cu Kα).

Peak list (10 most intense, 2θ = 10–90°, low angle first)
d 3.025, rel. 16; d 2.767, rel. 28; d 2.507, rel. 29; d 2.392, rel. 100; d 2.376, rel. 69; d 2.318, rel. 52; d 2.205, rel. 46; d 1.777, rel. 16; d 1.702, rel. 18; d 1.352, rel. 17

Cell and atoms:
Cell lengths 5.015, 4.636, 6.679 Å; angles 90.00, 90.56, 90.00 degrees
Atoms (fractional coordinates):
Np  0.049  0.250  0.393
Np  0.951  0.750  0.607
Zn  0.416  0.750  0.914
Zn  0.584  0.250  0.086
Au  0.089  0.250  0.894
Au  0.445  0.750  0.340
Au  0.555  0.250  0.660
Au  0.911  0.750  0.106

---

What did the second record say?
Structure and calculated powder X-ray diffraction pattern of Np4Sb7Au5 (a crystal structure in Alexandria, relaxed with PBE; Cu Kα).

Peak list (10 most intense, 2θ = 10–90°, low angle first)
d 3.997, rel. 9; d 2.631, rel. 6; d 2.620, rel. 100; d 2.470, rel. 18; d 2.186, rel. 32; d 1.637, rel. 20; d 1.545, rel. 11; d 1.453, rel. 11; d 1.331, rel. 26; d 1.310, rel. 10

Cell and atoms:
Cell lengths 10.805, 10.805, 10.805 Å; angles 146.75, 146.75, 47.73 degrees
Atoms (fractional coordinates):
Np  0.129  0.129  0.503
Np  0.374  0.871  0.000
Np  0.626  0.626  0.497
Np  0.871  0.374  0.000
Sb  0.000  0.500  0.500
Sb  0.097  0.603  0.000
Sb  0.397  0.397  0.495
Sb  0.500  0.000  0.500
Sb  0.500  0.500  0.000
Sb  0.603  0.097  0.000
Sb  0.903  0.903  0.505
Au  0.000  0.000  0.000
Au  0.250  0.750  0.500
Au  0.251  0.251  0.000
Au  0.749  0.749  0.000
Au  0.750  0.250  0.500

---

- What is the formula in the fifth record?
  NpTl2Au9